Structure and theoretical X-ray powder pattern of Pm2CuGe4 (a crystal structure in Alexandria, relaxed with GGA-PBE; Cu Kα).

Peak list (10 most intense, 2θ = 5–70°, in order of rising 2θ)
(hkl), two_theta, d_spacing, I/Imax
2 0 0, 21.24, 4.183, 29
2 0 2, 28.98, 3.081, 65
2 2 2, 36.21, 2.481, 100
0 0 4, 39.57, 2.278, 19
4 0 0, 43.25, 2.092, 39
2 0 4, 45.34, 2.000, 19
4 2 2, 52.91, 1.731, 20
4 0 4, 60.05, 1.541, 20
2 4 4, 64.46, 1.446, 17
2 2 6, 69.60, 1.351, 19

Structural model:
Cell: 8.364 8.369 9.110 Å, 90.00 90.00 90.00°
Space group Fmm2 (No. 42)
Unique sites:
Pm1 0.250 0.250 0.000 (multiplicity 8)
Cu1 0.000 0.000 0.157 (multiplicity 4)
Ge1 0.000 0.225 0.753 (multiplicity 8)
Ge2 0.226 0.000 0.754 (multiplicity 8)